Record 1
# ErClO
Theoretical powder diffraction line list, λ = 1.5418 Å (Cu Kα). Input: a cell relaxed with GGA-PBE.
Neutral-atom scattering factors, no anomalous dispersion.

Largest 10 diffraction maxima, in order of falling intensity, 2θ from 10° to 90°:
| index | Position (°2θ) | I/Imax |
| --- | --- | --- |
| 1 0 2 | 31.0 | 100 |
| 0 1 1 | 23.5 | 99 |
| 1 1 1 | 33.7 | 61 |
| 0 1 2 | 29.1 | 48 |
| 1 2 2 | 54.4 | 39 |
| 1 1 3 | 44.2 | 37 |
| 1 0 3 | 38.3 | 33 |
| 1 1 4 | 52.0 | 31 |
| 1 1 0 | 32.2 | 28 |
| 1 0 1 | 25.8 | 25 |

Cell and atoms:
Lattice parameters (Å, degrees): 3.7355 4.1553 9.0859 90.00 90.00 90.00
Fractional coordinates of all 6 atoms:
1 Er 0.2500 0.2500 0.1153
2 Er 0.7500 0.7500 0.8847
3 Cl 0.2500 0.7500 0.6765
4 Cl 0.7500 0.2500 0.3235
5 O 0.2500 0.7500 0.0295
6 O 0.7500 0.2500 0.9705



Record 2
# LiTi2O4
Theoretical powder diffraction line list, λ = 1.5418 Å (Cu Kα). Input: a cell relaxed with GGA-PBE.
Neutral-atom scattering factors, no anomalous dispersion.

Largest 10 diffraction maxima, in order of falling intensity, 2θ from 10° to 90°:
| index | Position (°2θ) | I/Imax |
| --- | --- | --- |
| 0 0 1 | 16.7 | 100 |
| 1 2 -1 | 38.7 | 31 |
| 1 2 -2 | 49.1 | 21 |
| 2 0 1 | 39.0 | 17 |
| 2 0 2 | 49.5 | 9 |
| 3 2 0 | 62.5 | 8 |
| 1 2 0 | 34.7 | 8 |
| 1 2 3 | 63.8 | 8 |
| 2 0 -3 | 63.5 | 6 |
| 1 2 2 | 49.3 | 6 |

Cell and atoms:
Lattice parameters (Å, degrees): 5.1410 5.9773 5.3176 90.00 90.45 90.00
Fractional coordinates of all 14 atoms:
1 Li 0.1947 0.2500 0.4392
2 Li 0.8053 0.7500 0.5608
3 Ti 0.0000 0.0000 0.0000
4 Ti 0.0000 0.5000 0.0000
5 Ti 0.4770 0.7500 0.0147
6 Ti 0.5230 0.2500 0.9853
7 O 0.1536 0.7500 0.7982
8 O 0.1637 0.2500 0.8006
9 O 0.3364 0.0107 0.1980
10 O 0.3364 0.4893 0.1980
11 O 0.6636 0.5107 0.8020
12 O 0.6636 0.9893 0.8020
13 O 0.8363 0.7500 0.1994
14 O 0.8464 0.2500 0.2018